(1)
Starting from DFT lattice parameters and positions (PBE+U), the XRD peak list of Sr5Fe5O14 was simulated for CuKα.
Kinematic intensities with the Lorentz-polarization factor, no thermal factor.

The 6 most intense peaks (2θ = 10–90°), in order of falling intensity:
- d 2.767, 32.4°, I 1000, (1 0 5)
- d 2.790, 32.1°, I 491, (0 2 5)
- d 1.606, 57.4°, I 374, (1 2 10)
- d 1.973, 46.0°, I 364, (0 4 0)
- d 1.383, 67.7°, I 205, (2 4 0)
- d 1.593, 57.9°, I 179, (2 2 5)

Atomic structure:
```
data_Sr5Fe5O14
_chemical_formula_sum 'Sr10 Fe10 O28'
_cell_length_a 3.8811
_cell_length_b 7.8919
_cell_length_c 19.7213
_cell_angle_alpha 90.00
_cell_angle_beta 90.00
_cell_angle_gamma 90.00
_space_group_name_H-M_alt 'P m m m'
_space_group_IT_number 47
loop_
_space_group_symop_operation_xyz
'x,y,z'
'-x,-y,-z'
'-x,-y,z'
'x,y,-z'
'x,-y,-z'
'-x,y,z'
'-x,y,-z'
'x,-y,z'
loop_
_atom_site_label
_atom_site_type_symbol
_atom_site_fract_x
_atom_site_fract_y
_atom_site_fract_z
Sr1 Sr 0.0000 0.2342 0.0000
Sr2 Sr 0.0000 0.2422 0.2020
Sr3 Sr 0.0000 0.2582 0.3975
Fe1 Fe 0.5000 0.0000 0.0997
Fe2 Fe 0.5000 0.0000 0.3020
Fe3 Fe 0.5000 0.0000 0.5000
Fe4 Fe 0.5000 0.5000 0.1050
Fe5 Fe 0.5000 0.5000 0.3005
Fe6 Fe 0.5000 0.5000 0.5000
O1 O 0.0000 0.0000 0.1004
O2 O 0.0000 0.0000 0.3007
O3 O 0.0000 0.5000 0.0828
O4 O 0.0000 0.5000 0.3006
O5 O 0.0000 0.5000 0.5000
O6 O 0.5000 0.0000 0.0000
O7 O 0.5000 0.0000 0.1976
O8 O 0.5000 0.0000 0.4055
O9 O 0.5000 0.2371 0.5000
O10 O 0.5000 0.2479 0.2999
O11 O 0.5000 0.2599 0.0933
O12 O 0.5000 0.5000 0.2006
O13 O 0.5000 0.5000 0.3995
```

---

(2)
Starting from DFT lattice parameters and positions (PBE+U), the XRD peak list of Sr12Fe8O27 was simulated for CuKα.
Kinematic intensities with the Lorentz-polarization factor, no thermal factor.

The 6 most intense peaks (2θ = 10–90°), in order of falling intensity:
- d 2.825, 31.7°, I 1000, (0 2 2)
- d 2.770, 32.3°, I 644, (2 1 -1)
- d 1.959, 46.3°, I 462, (0 4 -1)
- d 1.610, 57.2°, I 365, (4 0 1)
- d 2.147, 42.1°, I 176, (2 1 -4)
- d 1.413, 66.2°, I 151, (0 4 -6)

Atomic structure:
```
data_Sr12Fe8O27
_chemical_formula_sum 'Sr12 Fe8 O27'
_cell_length_a 7.8349
_cell_length_b 8.7602
_cell_length_c 10.5631
_cell_angle_alpha 94.76
_cell_angle_beta 100.69
_cell_angle_gamma 116.55
_space_group_name_H-M_alt 'P -1'
_space_group_IT_number 2
loop_
_space_group_symop_operation_xyz
'x,y,z'
'-x,-y,-z'
loop_
_atom_site_label
_atom_site_type_symbol
_atom_site_fract_x
_atom_site_fract_y
_atom_site_fract_z
Sr1 Sr 0.0111 0.3423 0.3658
Sr2 Sr 0.1294 0.7419 0.0000
Sr3 Sr 0.2409 0.1608 0.6371
Sr4 Sr 0.2630 0.8399 0.3661
Sr5 Sr 0.3877 0.2585 0.0003
Sr6 Sr 0.4851 0.6561 0.6341
Fe1 Fe 0.0793 0.0527 0.2102
Fe2 Fe 0.1757 0.4494 0.8057
Fe3 Fe 0.3211 0.5460 0.1941
Fe4 Fe 0.4283 0.9518 0.8080
O1 O 0.0525 0.1958 0.8204
O2 O 0.0716 0.5477 0.1910
O3 O 0.1005 0.3977 0.6127
O4 O 0.1517 0.1003 0.3979
O5 O 0.1722 0.9548 0.8197
O6 O 0.1877 0.2856 0.1795
O7 O 0.2516 0.5033 0.0002
O8 O 0.3039 0.7035 0.8088
O9 O 0.3076 0.0452 0.1799
O10 O 0.3569 0.9032 0.6155
O11 O 0.3902 0.5898 0.3870
O12 O 0.4287 0.4527 0.8090
O13 O 0.4466 0.7992 0.1912
O14 O 0.5000 0.0000 0.0000
```